1.
Diffraction record for Pm2ZnGa. The powder diffraction line list is computed, not measured: it uses a DFT-relaxed cell (PBE, the Materials Project) and Cu Kα X-rays.

Structural model:
```
data_Pm2ZnGa
_space_group_name_H-M_alt 'F m -3 m'
_space_group_IT_number 225
_space_group_name_Hall '-F 4 2 3'
_cell_length_a 7.348
_cell_length_b 7.348
_cell_length_c 7.348
_cell_angle_alpha 90.00
_cell_angle_beta 90.00
_cell_angle_gamma 90.00
loop_
_atom_site_label
_atom_site_fract_x
_atom_site_fract_y
_atom_site_fract_z
_atom_site_occupancy
Pm1 0.250 0.250 0.250 1
Zn1 0.000 0.000 0.000 1
Ga1 0.000 0.000 0.500 1
```

Largest 6 diffraction maxima, by intensity, 2θ from 15° to 90°:
d/Å	Rel. int.	index
2.598	100	2 2 0
1.500	36	4 2 2
1.837	18	4 0 0
1.162	16	6 2 0
3.674	14	2 0 0
1.299	11	4 4 0

2.
Diffraction record for La3YMn4Si4. The powder diffraction line list is computed, not measured: it uses a DFT-relaxed cell (PBE, the Materials Project) and Cu Kα X-rays.

Structural model:
```
data_La3YMn4Si4
_space_group_name_H-M_alt 'P 4 m m'
_space_group_IT_number 99
_space_group_name_Hall 'P 4 -2'
_cell_length_a 4.000
_cell_length_b 4.000
_cell_length_c 15.198
_cell_angle_alpha 90.00
_cell_angle_beta 90.00
_cell_angle_gamma 90.00
loop_
_atom_site_label
_atom_site_fract_x
_atom_site_fract_y
_atom_site_fract_z
_atom_site_occupancy
La1 0.000 0.000 0.000 1
La2 0.000 0.000 0.488 1
La3 0.500 0.500 0.818 1
Y1 0.500 0.500 0.313 1
Mn1 0.000 0.500 0.164 1
Mn2 0.000 0.500 0.655 1
Si1 0.000 0.000 0.256 1
Si2 0.000 0.000 0.743 1
Si3 0.500 0.500 0.075 1
Si4 0.500 0.500 0.565 1
```

Largest 6 diffraction maxima, by intensity, 2θ from 15° to 90°:
d/Å	Rel. int.	index
2.755	100	1 0 4
3.540	99	1 0 2
2.269	89	1 1 4
2.651	62	1 1 2
2.000	59	2 0 0
1.619	39	2 1 4

3.
Diffraction record for SrB12H12O8. The powder diffraction line list is computed, not measured: it uses a DFT-relaxed cell (PBE, the Materials Project) and Cu Kα X-rays.

Structural model:
```
data_SrB12H12O8
_space_group_name_H-M_alt 'R -3'
_space_group_IT_number 148
_space_group_name_Hall '-R 3'
_cell_length_a 8.4511
_cell_length_b 8.4511
_cell_length_c 15.5603
_cell_angle_alpha 90.00
_cell_angle_beta 90.00
_cell_angle_gamma 120.00
loop_
_atom_site_label
_atom_site_fract_x
_atom_site_fract_y
_atom_site_fract_z
_atom_site_occupancy
Sr1 0.0000 0.0000 0.0000 1
B1 0.0333 0.1329 0.4109 1
B2 0.0616 0.2305 0.5242 1
H1 0.0151 0.8934 0.1759 1
H2 0.0506 0.2251 0.3502 1
O1 0.0000 0.0000 0.2035 1
O2 0.0463 0.7808 0.1176 1
```

Largest 6 diffraction maxima, by intensity, 2θ from 15° to 90°:
d/Å	Rel. int.	index
5.331	100	0 1 2
4.226	63	1 1 0
2.371	42	2 0 5
3.276	42	1 1 3
3.562	29	0 2 1
2.724	25	2 1 1